1.
Diffraction record for Rb3LiH4. The X-ray powder pattern is calculated, not measured: it uses a cell relaxed with PBE and Cu Kα X-rays.
Lines closer than 0.1° are merged.

Most intense lines, 2θ from 10° to 80°, low angle first:
Position (°2θ)	Rel. int.	h k l
17.3	20	1 1 0
19.7	11	1 0 1
27.5	26	0 0 2
28.2	100	1 2 1
28.5	25	2 0 0
40.0	20	2 0 2
49.1	20	1 2 3
50.3	29	3 2 1
58.3	12	2 4 2
66.4	12	4 0 2

```
data_Rb3LiH4
_cell_length_a 6.260
_cell_length_b 8.896
_cell_length_c 6.486
_cell_angle_alpha 90.00
_cell_angle_beta 90.00
_cell_angle_gamma 90.00
_symmetry_space_group_name_H-M 'I m m 2'
_symmetry_Int_Tables_number 44
loop_
_symmetry_equiv_pos_as_xyz
'x,y,z'
'-x,-y,z'
'-x,y,z'
'x,-y,z'
'x+1/2,y+1/2,z+1/2'
'-x+1/2,-y+1/2,z+1/2'
'-x+1/2,y+1/2,z+1/2'
'x+1/2,-y+1/2,z+1/2'
loop_
_atom_site_label
_atom_site_type_symbol
_atom_site_fract_x
_atom_site_fract_y
_atom_site_fract_z
_atom_site_occupancy
Rb1 Rb 0.000 0.000 0.000 1
Rb2 Rb 0.000 0.239 0.525 1
Li1 Li 0.000 0.500 0.969 1
H1 H 0.000 0.317 0.118 1
H2 H 0.233 0.500 0.799 1
```

=====

2.
Diffraction record for SrLa2Pb. The X-ray powder pattern is calculated, not measured: it uses a cell relaxed with PBE and Cu Kα X-rays.
Lines closer than 0.1° are merged.

Most intense lines, 2θ from 10° to 80°, low angle first:
Position (°2θ)	Rel. int.	h k l
27.3	18	2 0 -2
27.5	38	1 1 -1
30.4	46	4 0 0
31.0	34	0 0 2
31.3	76	1 1 1
31.7	100	4 0 -2
41.7	15	5 1 -1
48.4	29	3 1 -3
58.5	15	4 2 0
58.8	23	7 1 -3

```
data_SrLa2Pb
_cell_length_a 13.318
_cell_length_b 3.740
_cell_length_c 6.533
_cell_angle_alpha 90.00
_cell_angle_beta 117.82
_cell_angle_gamma 90.00
_symmetry_space_group_name_H-M 'C 1 m 1'
_symmetry_Int_Tables_number 8
loop_
_symmetry_equiv_pos_as_xyz
'x,y,z'
'x,-y,z'
'x+1/2,y+1/2,z'
'x+1/2,-y+1/2,z'
loop_
_atom_site_label
_atom_site_type_symbol
_atom_site_fract_x
_atom_site_fract_y
_atom_site_fract_z
_atom_site_occupancy
Sr1 Sr 0.000 0.000 0.000 1
La1 La 0.225 0.000 0.588 1
La2 La 0.452 0.000 0.453 1
Pb1 Pb 0.231 0.500 0.044 1
```

=====

3.
Diffraction record for Rb2Sb2Te5. The X-ray powder pattern is calculated, not measured: it uses a cell relaxed with PBE and Cu Kα X-rays.
Lines closer than 0.1° are merged.

Most intense lines, 2θ from 10° to 80°, low angle first:
Position (°2θ)	Rel. int.	h k l
18.4	60	1 1 -1
19.0	58	0 0 2
19.9	53	1 1 1
23.6	74	4 0 0
27.2	55	3 1 1
27.4	79	3 1 -2
31.4	100	0 2 0
32.8	68	5 1 -1
33.6	39	5 1 0
41.3	41	3 1 -4

```
data_Rb2Sb2Te5
_cell_length_a 15.579
_cell_length_b 5.703
_cell_length_c 9.674
_cell_angle_alpha 90.00
_cell_angle_beta 104.91
_cell_angle_gamma 90.00
_symmetry_space_group_name_H-M 'C 1 2/m 1'
_symmetry_Int_Tables_number 12
loop_
_symmetry_equiv_pos_as_xyz
'x,y,z'
'-x,-y,-z'
'-x,y,-z'
'x,-y,z'
'x+1/2,y+1/2,z'
'-x+1/2,-y+1/2,-z'
'-x+1/2,y+1/2,-z'
'x+1/2,-y+1/2,z'
loop_
_atom_site_label
_atom_site_type_symbol
_atom_site_fract_x
_atom_site_fract_y
_atom_site_fract_z
_atom_site_occupancy
Rb1 Rb 0.098 0.000 0.348 1
Sb1 Sb 0.169 0.500 0.898 1
Te1 Te 0.000 0.500 0.000 1
Te2 Te 0.132 0.000 0.976 1
Te3 Te 0.133 0.500 0.608 1
```

=====

4.
Diffraction record for DyMgScAg. The X-ray powder pattern is calculated, not measured: it uses a cell relaxed with PBE and Cu Kα X-rays.
Lines closer than 0.1° are merged.

Most intense lines, 2θ from 10° to 80°, low angle first:
Position (°2θ)	Rel. int.	h k l
12.5	48	0 0 1
27.6	38	1 0 1
34.9	53	1 1 0
35.4	100	1 0 2
37.2	15	1 1 1
50.2	18	2 0 0
58.2	10	2 1 1
62.9	36	2 1 2
63.8	16	1 1 4
74.8	10	2 0 4

```
data_DyMgScAg
_cell_length_a 3.635
_cell_length_b 3.635
_cell_length_c 7.093
_cell_angle_alpha 90.00
_cell_angle_beta 90.00
_cell_angle_gamma 90.00
_symmetry_space_group_name_H-M 'P 4 m m'
_symmetry_Int_Tables_number 99
loop_
_symmetry_equiv_pos_as_xyz
'x,y,z'
'-y,x,z'
'-x,-y,z'
'y,-x,z'
'-x,y,z'
'y,x,z'
'x,-y,z'
'-y,-x,z'
loop_
_atom_site_label
_atom_site_type_symbol
_atom_site_fract_x
_atom_site_fract_y
_atom_site_fract_z
_atom_site_occupancy
Dy1 Dy 0.000 0.000 0.000 1
Mg1 Mg 0.500 0.500 0.281 1
Sc1 Sc 0.000 0.000 0.519 1
Ag1 Ag 0.500 0.500 0.740 1
```

=====

5.
Diffraction record for PmTlCuO3. The X-ray powder pattern is calculated, not measured: it uses a cell relaxed with PBE and Cu Kα X-rays.
Lines closer than 0.1° are merged.

Most intense lines, 2θ from 10° to 80°, low angle first:
Position (°2θ)	Rel. int.	h k l
23.7	23	1 1 0
28.5	21	4 0 0
30.5	48	2 0 2
31.3	73	3 1 0
32.1	37	4 0 -2
32.3	100	1 1 -2
44.4	18	5 1 -2
46.2	23	0 2 0
54.0	19	5 1 2
56.0	28	1 1 4

```
data_PmTlCuO3
_cell_length_a 12.954
_cell_length_b 3.928
_cell_length_c 7.847
_cell_angle_alpha 90.00
_cell_angle_beta 104.80
_cell_angle_gamma 90.00
_symmetry_space_group_name_H-M 'C 1 2/m 1'
_symmetry_Int_Tables_number 12
loop_
_symmetry_equiv_pos_as_xyz
'x,y,z'
'-x,-y,-z'
'-x,y,-z'
'x,-y,z'
'x+1/2,y+1/2,z'
'-x+1/2,-y+1/2,-z'
'-x+1/2,y+1/2,-z'
'x+1/2,-y+1/2,z'
loop_
_atom_site_label
_atom_site_type_symbol
_atom_site_fract_x
_atom_site_fract_y
_atom_site_fract_z
_atom_site_occupancy
Pm1 Pm 0.149 0.000 0.078 1
Tl1 Tl 0.146 0.000 0.585 1
Cu1 Cu 0.008 0.500 0.795 1
O1 O 0.010 0.000 0.814 1
O2 O 0.147 0.500 0.250 1
O3 O 0.165 0.500 0.872 1
```

=====

6.
Diffraction record for Rb3HfI7. The X-ray powder pattern is calculated, not measured: it uses a cell relaxed with PBE and Cu Kα X-rays.
Lines closer than 0.1° are merged.

Most intense lines, 2θ from 10° to 80°, low angle first:
Position (°2θ)	Rel. int.	h k l
11.7	92	1 1 0
12.4	45	1 1 -1
14.5	40	2 0 -1
19.3	43	0 2 1
29.1	63	4 0 -2
29.6	40	1 3 1
30.7	100	2 2 1
30.8	34	0 4 0
33.0	51	0 4 1
34.1	28	4 2 -1

```
data_Rb3HfI7
_cell_length_a 12.318
_cell_length_b 11.607
_cell_length_c 9.255
_cell_angle_alpha 90.00
_cell_angle_beta 125.44
_cell_angle_gamma 90.00
_symmetry_space_group_name_H-M 'C 1 m 1'
_symmetry_Int_Tables_number 8
loop_
_symmetry_equiv_pos_as_xyz
'x,y,z'
'x,-y,z'
'x+1/2,y+1/2,z'
'x+1/2,-y+1/2,z'
loop_
_atom_site_label
_atom_site_type_symbol
_atom_site_fract_x
_atom_site_fract_y
_atom_site_fract_z
_atom_site_occupancy
Rb1 Rb 0.000 0.000 0.000 1
Rb2 Rb 0.010 0.271 0.589 1
Hf1 Hf 0.053 0.500 0.141 1
I1 I 0.123 0.258 0.285 1
I2 I 0.206 0.500 0.002 1
I3 I 0.335 0.500 0.519 1
I4 I 0.360 0.157 0.836 1
I5 I 0.379 0.000 0.252 1
```

=====

7.
Diffraction record for Th11Ru12C18. The X-ray powder pattern is calculated, not measured: it uses a cell relaxed with PBE and Cu Kα X-rays.
Lines closer than 0.1° are merged.

Most intense lines, 2θ from 10° to 80°, low angle first:
Position (°2θ)	Rel. int.	h k l
28.6	66	2 2 2
30.9	100	3 2 1
33.1	37	4 0 0
35.2	55	4 1 1
39.0	24	3 3 2
47.5	19	4 4 0
49.0	17	5 3 0
52.1	47	5 3 2
63.1	32	7 2 1
71.9	17	6 4 4

```
data_Th11Ru12C18
_cell_length_a 10.830
_cell_length_b 10.830
_cell_length_c 10.830
_cell_angle_alpha 90.00
_cell_angle_beta 90.00
_cell_angle_gamma 90.00
_symmetry_space_group_name_H-M 'I -4 3 m'
_symmetry_Int_Tables_number 217
_symmetry_space_group_name_Hall 'I -4 2 3'
loop_
_atom_site_label
_atom_site_type_symbol
_atom_site_fract_x
_atom_site_fract_y
_atom_site_fract_z
_atom_site_occupancy
Th1 Th 0.000 0.000 0.000 1
Th2 Th 0.000 0.250 0.500 1
Th3 Th 0.203 0.203 0.797 1
Ru1 Ru 0.085 0.085 0.282 1
C1 C 0.000 0.000 0.435 1
C2 C 0.048 0.263 0.263 1
```

=====

8.
Diffraction record for Tm2Th3Sn3. The X-ray powder pattern is calculated, not measured: it uses a cell relaxed with PBE and Cu Kα X-rays.
Lines closer than 0.1° are merged.

Most intense lines, 2θ from 10° to 80°, low angle first:
Position (°2θ)	Rel. int.	h k l
28.0	16	0 0 2
29.7	32	2 1 0
30.2	18	1 0 2
32.9	100	2 1 1
33.8	28	3 0 0
34.2	56	1 1 2
48.8	14	2 2 2
52.7	37	2 1 3
54.3	18	4 0 2
65.5	14	5 0 2

```
data_Tm2Th3Sn3
_cell_length_a 9.1953
_cell_length_b 9.1953
_cell_length_c 6.3790
_cell_angle_alpha 90.00
_cell_angle_beta 90.00
_cell_angle_gamma 120.00
_symmetry_space_group_name_H-M 'P 63/m c m'
_symmetry_Int_Tables_number 193
_symmetry_space_group_name_Hall '-P 6c 2'
loop_
_atom_site_label
_atom_site_type_symbol
_atom_site_fract_x
_atom_site_fract_y
_atom_site_fract_z
_atom_site_occupancy
Tm1 Tm 0.3333 0.6667 0.0000 1
Th1 Th 0.0000 0.2423 0.2500 1
Sn1 Sn 0.0000 0.4008 0.7500 1
```

=====

9.
Diffraction record for NdNpAg2Te4. The X-ray powder pattern is calculated, not measured: it uses a cell relaxed with PBE and Cu Kα X-rays.
Lines closer than 0.1° are merged.

Most intense lines, 2θ from 10° to 80°, low angle first:
Position (°2θ)	Rel. int.	h k l
15.7	18	0 1 1
27.1	92	1 1 2
31.8	78	2 0 2
33.0	100	2 2 0
43.2	52	3 1 2
47.1	27	1 1 4
47.3	36	4 0 0
58.2	29	4 2 2
58.7	28	3 1 4
78.8	16	6 2 0

```
data_NdNpAg2Te4
_cell_length_a 7.682
_cell_length_b 7.684
_cell_length_c 8.262
_cell_angle_alpha 90.00
_cell_angle_beta 90.00
_cell_angle_gamma 90.00
_symmetry_space_group_name_H-M 'I 2 2 2'
_symmetry_Int_Tables_number 23
loop_
_symmetry_equiv_pos_as_xyz
'x,y,z'
'-x,-y,z'
'x,-y,-z'
'-x,y,-z'
'x+1/2,y+1/2,z+1/2'
'-x+1/2,-y+1/2,z+1/2'
'x+1/2,-y+1/2,-z+1/2'
'-x+1/2,y+1/2,-z+1/2'
loop_
_atom_site_label
_atom_site_type_symbol
_atom_site_fract_x
_atom_site_fract_y
_atom_site_fract_z
_atom_site_occupancy
Nd1 Nd 0.000 0.000 0.000 1
Np1 Np 0.000 0.000 0.500 1
Ag1 Ag 0.000 0.500 0.170 1
Te1 Te 0.248 0.253 0.700 1
```

=====

10.
Diffraction record for Gd2ReO5. The X-ray powder pattern is calculated, not measured: it uses a cell relaxed with PBE and Cu Kα X-rays.
Lines closer than 0.1° are merged.

Most intense lines, 2θ from 10° to 80°, low angle first:
Position (°2θ)	Rel. int.	h k l
27.8	100	1 2 1
29.2	16	2 2 0
32.8	76	3 1 0
34.3	13	1 1 2
40.8	13	3 2 1
47.0	18	2 4 0
52.9	17	4 0 2
53.2	20	1 2 3
55.2	13	3 3 2
59.8	18	2 5 1

```
data_Gd2ReO5
_cell_length_a 8.640
_cell_length_b 8.640
_cell_length_c 5.776
_cell_angle_alpha 90.00
_cell_angle_beta 90.00
_cell_angle_gamma 90.00
_symmetry_space_group_name_H-M 'P 4/n'
_symmetry_Int_Tables_number 85
loop_
_symmetry_equiv_pos_as_xyz
'x,y,z'
'-x,-y,-z'
'-y+1/2,x,z'
'y+1/2,-x,-z'
'-x+1/2,-y+1/2,z'
'x+1/2,y+1/2,-z'
'y,-x+1/2,z'
'-y,x+1/2,-z'
loop_
_atom_site_label
_atom_site_type_symbol
_atom_site_fract_x
_atom_site_fract_y
_atom_site_fract_z
_atom_site_occupancy
Gd1 Gd 0.100 0.891 0.250 1
Re1 Re 0.250 0.250 0.147 1
Re2 Re 0.250 0.250 0.540 1
O1 O 0.049 0.342 0.601 1
O2 O 0.050 0.156 0.095 1
O3 O 0.250 0.750 0.000 1
O4 O 0.250 0.750 0.500 1
```

=====

Please write out number 9 again, unchanged.
Diffraction record for NdNpAg2Te4. The X-ray powder pattern is calculated, not measured: it uses a cell relaxed with PBE and Cu Kα X-rays.
Lines closer than 0.1° are merged.

Most intense lines, 2θ from 10° to 80°, low angle first:
Position (°2θ)	Rel. int.	h k l
15.7	18	0 1 1
27.1	92	1 1 2
31.8	78	2 0 2
33.0	100	2 2 0
43.2	52	3 1 2
47.1	27	1 1 4
47.3	36	4 0 0
58.2	29	4 2 2
58.7	28	3 1 4
78.8	16	6 2 0

```
data_NdNpAg2Te4
_cell_length_a 7.682
_cell_length_b 7.684
_cell_length_c 8.262
_cell_angle_alpha 90.00
_cell_angle_beta 90.00
_cell_angle_gamma 90.00
_symmetry_space_group_name_H-M 'I 2 2 2'
_symmetry_Int_Tables_number 23
loop_
_symmetry_equiv_pos_as_xyz
'x,y,z'
'-x,-y,z'
'x,-y,-z'
'-x,y,-z'
'x+1/2,y+1/2,z+1/2'
'-x+1/2,-y+1/2,z+1/2'
'x+1/2,-y+1/2,-z+1/2'
'-x+1/2,y+1/2,-z+1/2'
loop_
_atom_site_label
_atom_site_type_symbol
_atom_site_fract_x
_atom_site_fract_y
_atom_site_fract_z
_atom_site_occupancy
Nd1 Nd 0.000 0.000 0.000 1
Np1 Np 0.000 0.000 0.500 1
Ag1 Ag 0.000 0.500 0.170 1
Te1 Te 0.248 0.253 0.700 1
```

=====

Please write out number 1 again, unchanged.
Diffraction record for Rb3LiH4. The X-ray powder pattern is calculated, not measured: it uses a cell relaxed with PBE and Cu Kα X-rays.
Lines closer than 0.1° are merged.

Most intense lines, 2θ from 10° to 80°, low angle first:
Position (°2θ)	Rel. int.	h k l
17.3	20	1 1 0
19.7	11	1 0 1
27.5	26	0 0 2
28.2	100	1 2 1
28.5	25	2 0 0
40.0	20	2 0 2
49.1	20	1 2 3
50.3	29	3 2 1
58.3	12	2 4 2
66.4	12	4 0 2

```
data_Rb3LiH4
_cell_length_a 6.260
_cell_length_b 8.896
_cell_length_c 6.486
_cell_angle_alpha 90.00
_cell_angle_beta 90.00
_cell_angle_gamma 90.00
_symmetry_space_group_name_H-M 'I m m 2'
_symmetry_Int_Tables_number 44
loop_
_symmetry_equiv_pos_as_xyz
'x,y,z'
'-x,-y,z'
'-x,y,z'
'x,-y,z'
'x+1/2,y+1/2,z+1/2'
'-x+1/2,-y+1/2,z+1/2'
'-x+1/2,y+1/2,z+1/2'
'x+1/2,-y+1/2,z+1/2'
loop_
_atom_site_label
_atom_site_type_symbol
_atom_site_fract_x
_atom_site_fract_y
_atom_site_fract_z
_atom_site_occupancy
Rb1 Rb 0.000 0.000 0.000 1
Rb2 Rb 0.000 0.239 0.525 1
Li1 Li 0.000 0.500 0.969 1
H1 H 0.000 0.317 0.118 1
H2 H 0.233 0.500 0.799 1
```

=====

Copy entry 8 word for word.
Diffraction record for Tm2Th3Sn3. The X-ray powder pattern is calculated, not measured: it uses a cell relaxed with PBE and Cu Kα X-rays.
Lines closer than 0.1° are merged.

Most intense lines, 2θ from 10° to 80°, low angle first:
Position (°2θ)	Rel. int.	h k l
28.0	16	0 0 2
29.7	32	2 1 0
30.2	18	1 0 2
32.9	100	2 1 1
33.8	28	3 0 0
34.2	56	1 1 2
48.8	14	2 2 2
52.7	37	2 1 3
54.3	18	4 0 2
65.5	14	5 0 2

```
data_Tm2Th3Sn3
_cell_length_a 9.1953
_cell_length_b 9.1953
_cell_length_c 6.3790
_cell_angle_alpha 90.00
_cell_angle_beta 90.00
_cell_angle_gamma 120.00
_symmetry_space_group_name_H-M 'P 63/m c m'
_symmetry_Int_Tables_number 193
_symmetry_space_group_name_Hall '-P 6c 2'
loop_
_atom_site_label
_atom_site_type_symbol
_atom_site_fract_x
_atom_site_fract_y
_atom_site_fract_z
_atom_site_occupancy
Tm1 Tm 0.3333 0.6667 0.0000 1
Th1 Th 0.0000 0.2423 0.2500 1
Sn1 Sn 0.0000 0.4008 0.7500 1
```